No. 1
Theoretical powder X-ray diffraction pattern
Compound: Sm4O5F
Radiation: λ = 1.5418 Å (Cu Kα)
Structure: a crystal structure in Alexandria, relaxed with GGA-PBE
Lines closer than 0.1° are merged.

Cell lengths 7.5938, 7.7368, 5.7004 Å; angles 90.00, 90.00, 90.00 degrees
Sites, in units of the cell vectors:
Sm: 0.0023 0.2500 0.0211
Sm: 0.2500 0.5014 0.5305
Sm: 0.2500 0.9986 0.5305
Sm: 0.4977 0.2500 0.0211
Sm: 0.5023 0.7500 0.9789
Sm: 0.7500 0.0014 0.4695
Sm: 0.7500 0.4986 0.4695
Sm: 0.9977 0.7500 0.9789
O: 0.0214 0.5370 0.2517
O: 0.0214 0.9630 0.2517
O: 0.2500 0.7500 0.7550
O: 0.4786 0.5370 0.2517
O: 0.4786 0.9630 0.2517
O: 0.5214 0.0370 0.7483
O: 0.5214 0.4630 0.7483
O: 0.7500 0.2500 0.2450
O: 0.9786 0.0370 0.7483
O: 0.9786 0.4630 0.7483
F: 0.2500 0.2500 0.2777
F: 0.7500 0.7500 0.7223

Most intense lines, 2θ from 10° to 90°, low angle first:
- 27.87°, rel. 100.0
- 28.24°, rel. 98.2
- 31.39°, rel. 22.6
- 33.06°, rel. 46.8
- 46.23°, rel. 61.7
- 46.98°, rel. 15.5
- 47.92°, rel. 15.3
- 53.96°, rel. 14.0
- 55.72°, rel. 29.5
- 56.35°, rel. 28.1


No. 2
Theoretical powder X-ray diffraction pattern
Compound: Cs7Br2O2
Radiation: λ = 1.5418 Å (Cu Kα)
Structure: a crystal structure in Alexandria, relaxed with GGA-PBE
Lines closer than 0.1° are merged.

Cell lengths 9.2445, 9.2445, 8.3848 Å; angles 95.86, 95.86, 113.36 degrees
Sites, in units of the cell vectors:
Cs: 0.0000 0.0000 0.0000
Cs: 0.0808 0.3801 0.7238
Cs: 0.3801 0.0808 0.7238
Cs: 0.4258 0.4258 0.1976
Cs: 0.5742 0.5742 0.8024
Cs: 0.6199 0.9192 0.2762
Cs: 0.9192 0.6199 0.2762
Br: 0.3176 0.6824 0.5000
Br: 0.6824 0.3176 0.5000
O: 0.2656 0.2656 0.8945
O: 0.7344 0.7344 0.1055

Most intense lines, 2θ from 10° to 90°, low angle first:
- 15.73°, rel. 78.6
- 16.22°, rel. 54.4
- 21.39°, rel. 60.3
- 22.50°, rel. 45.7
- 23.02°, rel. 100.0
- 25.33°, rel. 55.0
- 27.60°, rel. 81.1
- 27.89°, rel. 43.9
- 29.24°, rel. 50.1
- 30.41°, rel. 46.4


No. 3
Theoretical powder X-ray diffraction pattern
Compound: LaPrGaSi
Radiation: λ = 1.5418 Å (Cu Kα)
Structure: a crystal structure in Alexandria, relaxed with GGA-PBE
Lines closer than 0.1° are merged.

Cell lengths 4.0954, 6.1385, 6.1385 Å; angles 43.08, 90.00, 90.00 degrees
Sites, in units of the cell vectors:
La: 0.0000 0.0000 0.0000
Pr: 0.5000 0.7165 0.7165
Ga: 0.5000 0.4241 0.4241
Si: 0.0000 0.2867 0.2867

Most intense lines, 2θ from 10° to 90°, low angle first:
- 26.79°, rel. 39.8
- 30.51°, rel. 100.0
- 30.74°, rel. 57.0
- 31.33°, rel. 25.0
- 37.95°, rel. 40.9
- 38.44°, rel. 18.1
- 40.00°, rel. 25.3
- 44.23°, rel. 19.0
- 48.80°, rel. 15.7
- 54.83°, rel. 22.1